Calculated X-ray powder pattern
Compound: AcPr3NdDy
Radiation: λ = 1.5418 Å (Cu Kα)
Structure: a PBE-relaxed structure
No peak broadening, texture or thermal motion is included.

Main lines, by angle (2θ = 10–90°):
index	two_theta	I_rel
6 0 0	25.49	20
5 1 -1	28.65	37
5 1 1	29.12	47
1 1 -2	29.39	30
0 2 0	30.00	100
3 1 -2	31.65	50
3 1 2	32.16	60
7 1 0	33.49	50
4 2 -2	42.91	18
0 2 4	60.48	20

Structure:
Cell lengths 20.977, 5.952, 7.144 Å; angles 90.00, 91.42, 90.00 degrees
Space group C2/m (No. 12)
One atom of each set of equivalent atoms:
Ac (0.148, 0.000, 0.033) [4 per cell]
Pr (0.016, 0.000, 0.744) [4 per cell]
Pr (0.160, 0.500, 0.744) [4 per cell]
Pr (0.219, 0.500, 0.275) [4 per cell]
Nd (0.056, 0.500, 0.282) [4 per cell]
Dy (0.143, 0.000, 0.490) [4 per cell]

Calculated X-ray powder pattern
Compound: PrNdSiS
Radiation: λ = 1.5418 Å (Cu Kα)
Structure: a PBE-relaxed structure
No peak broadening, texture or thermal motion is included.

Main lines, by angle (2θ = 10–90°):
index	two_theta	I_rel
0 0 6	25.74	20
0 1 2	26.01	58
1 0 4	30.04	100
0 1 8	42.83	37
1 1 0	43.18	36
1 1 6	50.95	19
0 2 4	53.50	19
1 1 12	70.59	17
2 1 4	71.09	16
1 2 8	78.94	12

Structure:
Cell lengths 4.1904, 4.1904, 20.7665 Å; angles 90.00, 90.00, 120.00 degrees
Space group R3m (No. 160, hexagonal axes)
One atom of each set of equivalent atoms:
Pr (0.0000, 0.0000, 0.0000) [3 per cell]
Nd (0.0000, 0.0000, 0.4996) [3 per cell]
Si (0.0000, 0.0000, 0.2492) [3 per cell]
S (0.0000, 0.0000, 0.7507) [3 per cell]

Calculated X-ray powder pattern
Compound: UZn9Ga3
Radiation: λ = 1.5418 Å (Cu Kα)
Structure: a PBE-relaxed structure
No peak broadening, texture or thermal motion is included.

Main lines, by angle (2θ = 10–90°):
index	two_theta	I_rel
1 3 0	27.86	43
2 0 -1	32.10	55
1 3 1	34.45	54
1 3 -2	34.79	54
2 2 0	38.03	92
2 2 -2	38.45	77
1 1 2	39.92	56
1 1 -3	40.42	50
1 5 -1	40.68	100
0 4 2	41.13	98

Structure:
Cell lengths 5.578, 12.320, 6.808 Å; angles 90.00, 113.23, 90.00 degrees
Space group C2/m (No. 12)
One atom of each set of equivalent atoms:
U (0.000, 0.000, 0.000) [2 per cell]
Zn (0.000, 0.500, 0.500) [2 per cell]
Zn (0.103, 0.394, 0.215) [8 per cell]
Zn (0.190, 0.177, 0.357) [8 per cell]
Ga (0.000, 0.000, 0.500) [2 per cell]
Ga (0.250, 0.250, 0.000) [4 per cell]

Calculated X-ray powder pattern
Compound: Bi2AsHO6
Radiation: λ = 1.5418 Å (Cu Kα)
Structure: a PBE-relaxed structure
No peak broadening, texture or thermal motion is included.

Main lines, by angle (2θ = 10–90°):
index	two_theta	I_rel
0 0 1	19.41	84
2 0 -1	22.59	49
0 2 0	23.70	37
2 0 0	28.39	60
0 2 1	30.81	100
2 0 -2	31.45	45
2 2 -1	32.97	77
2 2 0	37.30	34
2 2 -2	39.75	38
0 4 0	48.49	34

Structure:
Cell lengths 7.913, 7.509, 5.754 Å; angles 90.00, 127.37, 90.00 degrees
Space group Cm (No. 8)
One atom of each set of equivalent atoms:
Bi (0.000, 0.244, 0.000) [4 per cell]
As (0.409, 0.000, 0.391) [2 per cell]
H (0.004, 0.000, 0.593) [2 per cell]
O (0.080, 0.000, 0.805) [2 per cell]
O (0.082, 0.500, 0.773) [2 per cell]
O (0.087, 0.500, 0.292) [2 per cell]
O (0.142, 0.000, 0.311) [2 per cell]
O (0.354, 0.235, 0.281) [4 per cell]

Calculated X-ray powder pattern
Compound: Th3Zn4Co4
Radiation: λ = 1.5418 Å (Cu Kα)
Structure: a PBE-relaxed structure
No peak broadening, texture or thermal motion is included.

Main lines, by angle (2θ = 10–90°):
index	two_theta	I_rel
0 1 3	22.62	26
0 2 0	24.22	41
0 1 5	34.37	35
1 2 1	34.53	90
1 1 4	37.04	100
0 3 3	41.64	36
2 0 0	47.83	23
0 4 0	49.53	18
1 3 4	51.50	19
2 3 3	65.25	19

Structure:
Cell lengths 3.804, 7.356, 13.952 Å; angles 90.00, 90.00, 90.00 degrees
Space group Immm (No. 71)
One atom of each set of equivalent atoms:
Th (0.000, 0.000, 0.000) [2 per cell]
Th (0.000, 0.500, 0.123) [4 per cell]
Zn (0.000, 0.316, 0.327) [8 per cell]
Co (0.000, 0.000, 0.235) [4 per cell]
Co (0.000, 0.201, 0.500) [4 per cell]